Record 1
Starting from DFT lattice parameters and positions (PBE), the PXRD pattern of Li6Hf2O7 was computed for Cu Kα, 1.54184 Å.
Peak positions follow from Bragg's law for the DFT cell and can differ from measured ones.

Principal peaks in the range 2θ = 15–90°, low angle first:
(1 1 0), 2θ 17.12, rel. 31; (2 0 0), 2θ 17.24, rel. 70; (1 1 -1), 2θ 18.55, rel. 100; (2 0 -2), 2θ 22.40, rel. 27; (1 1 -2), 2θ 23.54, rel. 66; (1 1 2), 2θ 25.84, rel. 35; (2 0 2), 2θ 26.99, rel. 36; (3 1 0), 2θ 29.98, rel. 54; (0 2 1), 2θ 31.14, rel. 30; (2 2 -3), 2θ 42.14, rel. 54

Structural model:
```
data_Li6Hf2O7
_chemical_formula_sum 'Li24 Hf8 O28'
_cell_length_a 10.4613
_cell_length_b 5.9946
_cell_length_c 10.1996
_cell_angle_alpha 90.00
_cell_angle_beta 100.47
_cell_angle_gamma 90.00
_space_group_name_H-M_alt 'C 1 2/c 1'
_space_group_IT_number 15
_space_group_name_Hall '-C 2yc'
loop_
_atom_site_label
_atom_site_type_symbol
_atom_site_fract_x
_atom_site_fract_y
_atom_site_fract_z
_atom_site_occupancy
Li1 Li 0.0626 0.1441 0.0871 1
Li2 Li 0.0668 0.4008 0.6033 1
Li3 Li 0.2067 0.1299 0.8936 1
Hf1 Hf 0.1834 0.3778 0.3648 1
O1 O 0.0000 0.3478 0.2500 1
O2 O 0.1216 0.3787 0.9765 1
O3 O 0.1340 0.1335 0.5019 1
O4 O 0.2502 0.1130 0.2540 1
```

=====

Record 2
Starting from DFT lattice parameters and positions (PBE), the PXRD pattern of Th2SbH2 was computed for Cu Kα, 1.54184 Å.
Peak positions follow from Bragg's law for the DFT cell and can differ from measured ones.

Principal peaks in the range 2θ = 15–90°, low angle first:
(0 2 1), 2θ 23.02, rel. 52; (1 3 0), 2θ 29.92, rel. 49; (1 3 -1), 2θ 30.05, rel. 100; (2 0 0), 2θ 31.27, rel. 85; (0 0 2), 2θ 31.38, rel. 83; (2 0 -2), 2θ 31.76, rel. 82; (1 3 1), 2θ 37.37, rel. 57; (1 3 -2), 2θ 37.69, rel. 28; (1 3 -3), 2θ 49.91, rel. 25; (2 0 2), 2θ 55.50, rel. 36

Structural model:
```
data_Th2SbH2
_chemical_formula_sum 'Th8 Sb4 H8'
_cell_length_a 6.5479
_cell_length_b 10.5034
_cell_length_c 6.5259
_cell_angle_alpha 90.00
_cell_angle_beta 119.11
_cell_angle_gamma 90.00
_space_group_name_H-M_alt 'C 1 2/c 1'
_space_group_IT_number 15
_space_group_name_Hall '-C 2yc'
loop_
_atom_site_label
_atom_site_type_symbol
_atom_site_fract_x
_atom_site_fract_y
_atom_site_fract_z
_atom_site_occupancy
Th1 Th 0.0000 0.0798 0.2500 1
Th2 Th 0.0000 0.3096 0.7500 1
Sb1 Sb 0.0000 0.3824 0.2500 1
H1 H 0.1107 0.1170 0.9668 1
```

=====

Record 3
Starting from DFT lattice parameters and positions (PBE), the PXRD pattern of PmHo4PbS8 was computed for Cu Kα, 1.54184 Å.
Peak positions follow from Bragg's law for the DFT cell and can differ from measured ones.

Principal peaks in the range 2θ = 15–90°, low angle first:
(1 0 4), 2θ 21.65, rel. 35; (1 1 0), 2θ 21.93, rel. 28; (0 1 5), 2θ 25.39, rel. 48; (1 1 3), 2θ 25.64, rel. 100; (0 2 1), 2θ 25.76, rel. 52; (0 2 4), 2θ 31.00, rel. 27; (1 2 5), 2θ 40.65, rel. 34; (0 3 3), 2θ 40.81, rel. 30; (2 0 8), 2θ 44.12, rel. 55; (2 2 0), 2θ 44.71, rel. 54

Structural model:
```
data_PmHo4PbS8
_chemical_formula_sum 'Pm3 Ho12 Pb3 S24'
_cell_length_a 8.1073
_cell_length_b 8.1073
_cell_length_c 20.2441
_cell_angle_alpha 90.00
_cell_angle_beta 90.00
_cell_angle_gamma 120.00
_space_group_name_H-M_alt 'R 3 m'
_space_group_IT_number 160
_space_group_name_Hall 'R 3 -2"'
loop_
_atom_site_label
_atom_site_type_symbol
_atom_site_fract_x
_atom_site_fract_y
_atom_site_fract_z
_atom_site_occupancy
Pm1 Pm 0.0000 0.0000 0.0000 1
Ho1 Ho 0.0000 0.0000 0.6237 1
Ho2 Ho 0.1690 0.3380 0.8306 1
Pb1 Pb 0.0000 0.0000 0.3714 1
S1 S 0.0000 0.0000 0.2326 1
S2 S 0.0000 0.0000 0.7558 1
S3 S 0.0308 0.5154 0.7555 1
S4 S 0.1745 0.3489 0.5765 1
```

=====

Record 4
Starting from DFT lattice parameters and positions (PBE), the PXRD pattern of La2Ho4Er3 was computed for Cu Kα, 1.54184 Å.
Peak positions follow from Bragg's law for the DFT cell and can differ from measured ones.

Principal peaks in the range 2θ = 15–90°, low angle first:
(0 2 4), 2θ 26.66, rel. 33; (2 0 0), 2θ 29.30, rel. 22; (0 4 2), 2θ 31.02, rel. 59; (1 3 3), 2θ 31.14, rel. 100; (2 0 2), 2θ 31.43, rel. 23; (1 1 5), 2θ 32.55, rel. 72; (2 2 0), 2θ 32.75, rel. 22; (2 2 2), 2θ 34.69, rel. 41; (3 3 3), 2θ 53.13, rel. 22; (0 4 8), 2θ 54.87, rel. 23

Structural model:
```
data_La2Ho4Er3
_chemical_formula_sum 'La8 Ho16 Er12'
_cell_length_a 6.0961
_cell_length_b 12.3737
_cell_length_c 15.9148
_cell_angle_alpha 90.00
_cell_angle_beta 90.00
_cell_angle_gamma 90.00
_space_group_name_H-M_alt 'F m m m'
_space_group_IT_number 69
_space_group_name_Hall '-F 2 2'
loop_
_atom_site_label
_atom_site_type_symbol
_atom_site_fract_x
_atom_site_fract_y
_atom_site_fract_z
_atom_site_occupancy
La1 La 0.0000 0.0000 0.1152 1
Ho1 Ho 0.0000 0.1441 0.3125 1
Er1 Er 0.0000 0.0000 0.5000 1
Er2 Er 0.2500 0.2500 0.0000 1
```